[1]
The following is a calculated powder diffractogram of Na3Th3PdSe8. It was derived from the GGA-PBE geometry in Alexandria, using Cu Kα (weighted mean of Kα1 and Kα2).
Intensities are scaled so that the largest is 100.

Main lines, by intensity (5° ≤ 2θ ≤ 70°):
2θ 12.6, intensity 100; 2θ 29.7, intensity 99; 2θ 30.1, intensity 45; 2θ 24.6, intensity 36; 2θ 43.3, intensity 34; 2θ 42.3, intensity 34; 2θ 45.3, intensity 19; 2θ 42.4, intensity 19; 2θ 52.9, intensity 18; 2θ 42.6, intensity 18

Cell and atoms:
Lattice parameters (Å, degrees): 8.3642 8.3642 8.4949 119.07 119.07 61.27
Positions (direct):
Na 0.0000 0.0000 0.0000
Na 0.0000 0.5000 0.0000
Na 0.5000 0.0000 0.0000
Th 0.0000 0.5000 0.5000
Th 0.5000 0.0000 0.5000
Th 0.5000 0.5000 0.5000
Pd 0.0000 0.0000 0.5000
Se 0.2223 0.2223 0.7079
Se 0.2508 0.2508 0.2561
Se 0.2521 0.7298 0.7328
Se 0.2702 0.7479 0.2672
Se 0.7298 0.2521 0.7328
Se 0.7479 0.2702 0.2672
Se 0.7492 0.7492 0.7439
Se 0.7777 0.7777 0.2921

---

[2]
The following is a calculated powder diffractogram of NaU2PdSe4. It was derived from the GGA-PBE geometry in Alexandria, using Cu Kα (weighted mean of Kα1 and Kα2).
Intensities are scaled so that the largest is 100.

Main lines, by intensity (5° ≤ 2θ ≤ 70°):
2θ 32.1, intensity 100; 2θ 14.4, intensity 100; 2θ 44.3, intensity 66; 2θ 29.6, intensity 59; 2θ 44.2, intensity 55; 2θ 33.7, intensity 41; 2θ 30.2, intensity 34; 2θ 22.6, intensity 34; 2θ 44.7, intensity 33; 2θ 38.9, intensity 31

Cell and atoms:
Lattice parameters (Å, degrees): 7.0902 7.0902 14.4439 90.00 90.00 146.77
Positions (direct):
Na 0.1229 0.8771 0.7500
Na 0.8771 0.1229 0.2500
U 0.3663 0.6337 0.5710
U 0.3663 0.6337 0.9290
U 0.6337 0.3663 0.0710
U 0.6337 0.3663 0.4290
Pd 0.1628 0.8372 0.2500
Pd 0.8372 0.1628 0.7500
Se 0.0000 0.0000 0.0000
Se 0.0000 0.0000 0.5000
Se 0.2778 0.7222 0.1098
Se 0.2778 0.7222 0.3902
Se 0.4545 0.5455 0.7500
Se 0.5455 0.4545 0.2500
Se 0.7222 0.2778 0.6098
Se 0.7222 0.2778 0.8902

---

[3]
The following is a calculated powder diffractogram of Na4Zr3PdSe8. It was derived from the GGA-PBE geometry in Alexandria, using Cu Kα (weighted mean of Kα1 and Kα2).
Intensities are scaled so that the largest is 100.

Main lines, by intensity (5° ≤ 2θ ≤ 70°):
2θ 31.4, intensity 100; 2θ 12.6, intensity 41; 2θ 43.5, intensity 36; 2θ 46.5, intensity 34; 2θ 57.2, intensity 17; 2θ 40.1, intensity 13; 2θ 48.3, intensity 8; 2θ 26.7, intensity 8; 2θ 65.6, intensity 7; 2θ 52.1, intensity 6

Cell and atoms:
Lattice parameters (Å, degrees): 7.8229 7.8229 8.3515 117.95 117.95 59.88
Positions (direct):
Na 0.0000 0.0000 0.0000
Na 0.0000 0.5000 0.0000
Na 0.5000 0.0000 0.0000
Na 0.5000 0.5000 0.0000
Zr 0.0000 0.0000 0.5000
Zr 0.0000 0.5000 0.5000
Zr 0.5000 0.0000 0.5000
Pd 0.5000 0.5000 0.5000
Se 0.2394 0.7392 0.7180
Se 0.2418 0.2418 0.7258
Se 0.2593 0.2593 0.2809
Se 0.2608 0.7606 0.2820
Se 0.7392 0.2394 0.7180
Se 0.7407 0.7407 0.7191
Se 0.7582 0.7582 0.2742
Se 0.7606 0.2608 0.2820

---

[4]
The following is a calculated powder diffractogram of Na2Si2Pd. It was derived from the GGA-PBE geometry in Alexandria, using Cu Kα (weighted mean of Kα1 and Kα2).
Intensities are scaled so that the largest is 100.

Main lines, by intensity (5° ≤ 2θ ≤ 70°):
2θ 11.7, intensity 100; 2θ 19.0, intensity 47; 2θ 37.2, intensity 28; 2θ 41.0, intensity 25; 2θ 34.8, intensity 25; 2θ 39.9, intensity 20; 2θ 25.3, intensity 18; 2θ 43.9, intensity 16; 2θ 33.9, intensity 13; 2θ 50.7, intensity 11

Cell and atoms:
Lattice parameters (Å, degrees): 7.9586 7.9586 5.6367 90.00 90.00 143.96
Positions (direct):
Na 0.0720 0.9280 0.7500
Na 0.2982 0.7018 0.2500
Na 0.7018 0.2982 0.7500
Na 0.9280 0.0720 0.2500
Si 0.1397 0.3652 0.7500
Si 0.3652 0.1397 0.2500
Si 0.6348 0.8603 0.7500
Si 0.8603 0.6348 0.2500
Pd 0.5000 0.5000 0.0000
Pd 0.5000 0.5000 0.5000

---

[5]
The following is a calculated powder diffractogram of Na6Sn2Pd. It was derived from the GGA-PBE geometry in Alexandria, using Cu Kα (weighted mean of Kα1 and Kα2).
Intensities are scaled so that the largest is 100.

Main lines, by intensity (5° ≤ 2θ ≤ 70°):
2θ 19.4, intensity 100; 2θ 33.5, intensity 85; 2θ 35.2, intensity 53; 2θ 49.4, intensity 44; 2θ 20.0, intensity 37; 2θ 8.7, intensity 24; 2θ 37.8, intensity 23; 2θ 39.0, intensity 17; 2θ 61.0, intensity 16; 2θ 59.8, intensity 16

Cell and atoms:
Lattice parameters (Å, degrees): 10.6262 10.6262 10.6262 29.18 29.18 29.18
Positions (direct):
Na 0.0817 0.0817 0.0817
Na 0.1946 0.1946 0.1946
Na 0.3078 0.3078 0.3078
Na 0.6922 0.6922 0.6922
Na 0.8054 0.8054 0.8054
Na 0.9183 0.9183 0.9183
Sn 0.4143 0.4143 0.4143
Sn 0.5857 0.5857 0.5857
Pd 0.5000 0.5000 0.5000

---

[6]
The following is a calculated powder diffractogram of NaSn2Pd3. It was derived from the GGA-PBE geometry in Alexandria, using Cu Kα (weighted mean of Kα1 and Kα2).
Intensities are scaled so that the largest is 100.

Main lines, by intensity (5° ≤ 2θ ≤ 70°):
2θ 41.6, intensity 100; 2θ 17.7, intensity 73; 2θ 37.4, intensity 64; 2θ 45.6, intensity 19; 2θ 64.4, intensity 19; 2θ 59.3, intensity 17; 2θ 35.8, intensity 15; 2θ 65.4, intensity 13; 2θ 30.9, intensity 11; 2θ 48.0, intensity 11

Cell and atoms:
Lattice parameters (Å, degrees): 5.7900 5.7900 4.3324 90.00 90.00 120.00
Positions (direct):
Na 0.0000 0.0000 0.0000
Sn 0.3333 0.6667 0.2876
Sn 0.6667 0.3333 0.2876
Pd 0.0000 0.5000 0.7861
Pd 0.5000 0.0000 0.7861
Pd 0.5000 0.5000 0.7861

---

[7]
The following is a calculated powder diffractogram of Na6SnPd2. It was derived from the GGA-PBE geometry in Alexandria, using Cu Kα (weighted mean of Kα1 and Kα2).
Intensities are scaled so that the largest is 100.

Main lines, by intensity (5° ≤ 2θ ≤ 70°):
2θ 19.9, intensity 100; 2θ 34.3, intensity 83; 2θ 36.2, intensity 44; 2θ 50.8, intensity 40; 2θ 20.5, intensity 37; 2θ 38.9, intensity 28; 2θ 8.9, intensity 23; 2θ 62.7, intensity 17; 2θ 40.0, intensity 17; 2θ 61.5, intensity 15

Cell and atoms:
Lattice parameters (Å, degrees): 10.3467 10.3467 10.3467 29.24 29.24 29.24
Positions (direct):
Na 0.0800 0.0800 0.0800
Na 0.2038 0.2038 0.2038
Na 0.3104 0.3104 0.3104
Na 0.6896 0.6896 0.6896
Na 0.7962 0.7962 0.7962
Na 0.9200 0.9200 0.9200
Sn 0.5000 0.5000 0.5000
Pd 0.4124 0.4124 0.4124
Pd 0.5876 0.5876 0.5876

---

[8]
The following is a calculated powder diffractogram of Na2Sn2Pd5. It was derived from the GGA-PBE geometry in Alexandria, using Cu Kα (weighted mean of Kα1 and Kα2).
Intensities are scaled so that the largest is 100.

Main lines, by intensity (5° ≤ 2θ ≤ 70°):
2θ 41.3, intensity 100; 2θ 38.3, intensity 96; 2θ 37.6, intensity 54; 2θ 40.5, intensity 53; 2θ 19.9, intensity 50; 2θ 20.3, intensity 33; 2θ 45.6, intensity 33; 2θ 34.3, intensity 32; 2θ 38.4, intensity 30; 2θ 10.6, intensity 20

Cell and atoms:
Lattice parameters (Å, degrees): 9.4765 9.4765 9.4765 57.50 135.96 144.92
Positions (direct):
Na 0.1066 0.0776 0.1842
Na 0.1066 0.4224 0.5290
Na 0.8934 0.5776 0.4710
Na 0.8934 0.9224 0.8158
Sn 0.4876 0.4876 0.0000
Sn 0.4876 0.9876 0.5000
Sn 0.7194 0.5982 0.6212
Sn 0.9770 0.0982 0.3788
Pd 0.2870 0.8476 0.9395
Pd 0.4252 0.1272 0.6322
Pd 0.4252 0.2930 0.7979
Pd 0.4950 0.6272 0.2021
Pd 0.4950 0.7930 0.3678
Pd 0.4980 0.1523 0.1698
Pd 0.4980 0.8282 0.8457
Pd 0.9081 0.3476 0.0605
Pd 0.9826 0.3282 0.8302
Pd 0.9826 0.6523 0.1543